NaAg6Au6: calculated XRD peak list (copper Kα), based on a DFT-relaxed cell (GGA-PBE, Alexandria).
No peak broadening, texture or thermal motion is included.

Atomic structure:
```
data_NaAg6Au6
_chemical_formula_sum 'Na2 Ag12 Au12'
_space_group_name_H-M_alt 'I m m m'
_space_group_IT_number 71
_space_group_name_Hall '-I 2 2'
_cell_length_a 5.501
_cell_length_b 9.623
_cell_length_c 9.690
_cell_angle_alpha 90.00
_cell_angle_beta 90.00
_cell_angle_gamma 90.00
loop_
_atom_site_label
_atom_site_fract_x
_atom_site_fract_y
_atom_site_fract_z
Na1 0.000 0.000 0.000
Ag1 0.000 0.000 0.354
Ag2 0.000 0.289 0.500
Ag3 0.000 0.352 0.000
Au1 0.000 0.500 0.280
Au2 0.250 0.250 0.250
```

Principal peaks in the range 2θ from 10° to 90°, by angle:
- (0 0 2), 18.31°, rel. 51
- (0 2 0), 18.44°, rel. 16
- (1 1 0), 18.57°, rel. 27
- (0 0 4), 37.11°, rel. 31
- (0 4 0), 37.36°, rel. 85
- (2 2 0), 37.65°, rel. 68
- (0 2 4), 41.78°, rel. 41
- (0 4 2), 41.93°, rel. 38
- (2 2 2), 42.19°, rel. 100
- (2 6 0), 67.62°, rel. 15

HfIn3: calculated XRD peak list (copper Kα), based on a DFT-relaxed cell (GGA-PBE, Alexandria).
No peak broadening, texture or thermal motion is included.

Atomic structure:
```
data_HfIn3
_chemical_formula_sum 'Hf2 In6'
_space_group_name_H-M_alt 'I m m 2'
_space_group_IT_number 44
_space_group_name_Hall 'I 2 -2'
_cell_length_a 3.255
_cell_length_b 10.386
_cell_length_c 5.492
_cell_angle_alpha 90.00
_cell_angle_beta 90.00
_cell_angle_gamma 90.00
loop_
_atom_site_label
_atom_site_fract_x
_atom_site_fract_y
_atom_site_fract_z
Hf1 0.000 0.000 0.000
In1 0.000 0.258 0.684
In2 0.000 0.500 0.024
```

Principal peaks in the range 2θ from 10° to 90°, by angle:
- (1 0 1), 31.96°, rel. 27
- (0 4 0), 34.55°, rel. 39
- (1 2 1), 36.45°, rel. 100
- (0 2 2), 37.03°, rel. 51
- (1 4 1), 47.77°, rel. 18
- (1 0 3), 57.78°, rel. 17
- (1 6 1), 63.15°, rel. 19
- (2 4 0), 67.97°, rel. 11
- (1 4 3), 69.09°, rel. 19
- (2 2 2), 69.54°, rel. 16

Sc2BeCo3: calculated XRD peak list (copper Kα), based on a DFT-relaxed cell (GGA-PBE, Alexandria).
No peak broadening, texture or thermal motion is included.

Atomic structure:
```
data_Sc2BeCo3
_chemical_formula_sum 'Sc6 Be3 Co9'
_space_group_name_H-M_alt 'R -3 m'
_space_group_IT_number 166
_space_group_name_Hall '-R 3 2"'
_cell_length_a 4.9547
_cell_length_b 4.9547
_cell_length_c 11.0522
_cell_angle_alpha 90.00
_cell_angle_beta 90.00
_cell_angle_gamma 120.00
loop_
_atom_site_label
_atom_site_fract_x
_atom_site_fract_y
_atom_site_fract_z
Sc1 0.0000 0.0000 0.1278
Be1 0.0000 0.0000 0.5000
Co1 0.0000 0.5000 0.0000
```

Principal peaks in the range 2θ from 10° to 90°, by angle:
- (0 0 3), 24.16°, rel. 35
- (0 1 2), 26.30°, rel. 23
- (1 0 4), 38.76°, rel. 49
- (0 2 1), 42.94°, rel. 100
- (1 1 3), 44.05°, rel. 56
- (2 0 2), 45.34°, rel. 52
- (0 1 5), 46.20°, rel. 21
- (2 1 4), 66.90°, rel. 17
- (0 2 7), 74.64°, rel. 18
- (2 2 0), 76.98°, rel. 21

Cs6Rb14Hg3: calculated XRD peak list (copper Kα), based on a DFT-relaxed cell (GGA-PBE, Alexandria).
No peak broadening, texture or thermal motion is included.

Atomic structure:
```
data_Cs6Rb14Hg3
_chemical_formula_sum 'Cs6 Rb14 Hg3'
_space_group_name_H-M_alt 'P 3'
_space_group_IT_number 143
_space_group_name_Hall 'P 3'
_cell_length_a 16.1389
_cell_length_b 16.1389
_cell_length_c 8.4854
_cell_angle_alpha 90.00
_cell_angle_beta 90.00
_cell_angle_gamma 120.00
loop_
_atom_site_label
_atom_site_fract_x
_atom_site_fract_y
_atom_site_fract_z
Cs1 0.0750 0.5430 0.0000
Cs2 0.2577 0.1346 0.5136
Rb1 0.0000 0.0000 0.1838
Rb2 0.1225 0.2578 0.8867
Rb3 0.1995 0.4100 0.3828
Rb4 0.3333 0.6667 0.6771
Rb5 0.4486 0.2224 0.0144
Rb6 0.5558 0.1164 0.5066
Hg1 0.0000 0.0000 0.7058
Hg2 0.3333 0.6667 0.1924
Hg3 0.6667 0.3333 0.7621
```

Principal peaks in the range 2θ from 10° to 90°, by angle:
- (1 1 0), 10.96°, rel. 37
- (1 0 1), 12.20°, rel. 34
- (0 3 1), 21.76°, rel. 100
- (2 2 0), 22.03°, rel. 43
- (2 -1 2), 23.69°, rel. 32
- (2 0 2), 24.55°, rel. 22
- (0 3 2), 28.45°, rel. 51
- (5 -1 1), 31.21°, rel. 19
- (3 3 0), 33.30°, rel. 45
- (2 5 2), 45.84°, rel. 17

Li8Mg6Ga: calculated XRD peak list (copper Kα), based on a DFT-relaxed cell (GGA-PBE, Alexandria).
No peak broadening, texture or thermal motion is included.

Atomic structure:
```
data_Li8Mg6Ga
_chemical_formula_sum 'Li24 Mg18 Ga3'
_space_group_name_H-M_alt 'R -3'
_space_group_IT_number 148
_space_group_name_Hall '-R 3'
_cell_length_a 7.4947
_cell_length_b 7.4947
_cell_length_c 18.4871
_cell_angle_alpha 90.00
_cell_angle_beta 90.00
_cell_angle_gamma 120.00
loop_
_atom_site_label
_atom_site_fract_x
_atom_site_fract_y
_atom_site_fract_z
Li1 0.0000 0.0000 0.1506
Li2 0.0445 0.2574 0.5575
Mg1 0.0457 0.2606 0.7183
Ga1 0.0000 0.0000 0.0000
```

Principal peaks in the range 2θ from 10° to 90°, by angle:
- (0 0 3), 14.41°, rel. 100
- (1 0 4), 23.63°, rel. 37
- (2 -1 3), 27.86°, rel. 19
- (1 0 7), 36.74°, rel. 19
- (2 0 5), 36.85°, rel. 22
- (2 1 1), 36.96°, rel. 51
- (2 -1 6), 37.80°, rel. 31
- (3 -2 2), 37.95°, rel. 33
- (1 2 5), 44.31°, rel. 12
- (1 4 0), 65.94°, rel. 11

K2PdWS4: calculated XRD peak list (copper Kα), based on a DFT-relaxed cell (GGA-PBE, Alexandria).
No peak broadening, texture or thermal motion is included.

Atomic structure:
```
data_K2PdWS4
_chemical_formula_sum 'K16 Pd8 W8 S32'
_space_group_name_H-M_alt 'F d d d'
_space_group_IT_number 70
_cell_length_a 5.621
_cell_length_b 13.179
_cell_length_c 23.484
_cell_angle_alpha 90.00
_cell_angle_beta 90.00
_cell_angle_gamma 90.00
loop_
_space_group_symop_operation_xyz
'x,y,z'
'-x,-y,-z'
'-x+1/4,-y+1/4,z'
'x+1/4,y+1/4,-z'
'x,-y+1/4,-z+1/4'
'-x,y+1/4,z+1/4'
'-x+1/4,y,-z+1/4'
'x+1/4,-y,z+1/4'
'x,y+1/2,z+1/2'
'-x,-y+1/2,-z+1/2'
'-x+1/4,-y+3/4,z+1/2'
'x+1/4,y+3/4,-z+1/2'
'x,-y+3/4,-z+3/4'
'-x,y+3/4,z+3/4'
'-x+1/4,y+1/2,-z+3/4'
'x+1/4,-y+1/2,z+3/4'
'x+1/2,y,z+1/2'
'-x+1/2,-y,-z+1/2'
'-x+3/4,-y+1/4,z+1/2'
'x+3/4,y+1/4,-z+1/2'
'x+1/2,-y+1/4,-z+3/4'
'-x+1/2,y+1/4,z+3/4'
'-x+3/4,y,-z+3/4'
'x+3/4,-y,z+3/4'
'x+1/2,y+1/2,z'
'-x+1/2,-y+1/2,-z'
'-x+3/4,-y+3/4,z'
'x+3/4,y+3/4,-z'
'x+1/2,-y+3/4,-z+1/4'
'-x+1/2,y+3/4,z+1/4'
'-x+3/4,y+1/2,-z+1/4'
'x+3/4,-y+1/2,z+1/4'
loop_
_atom_site_label
_atom_site_fract_x
_atom_site_fract_y
_atom_site_fract_z
K1 0.125 0.125 0.304
Pd1 0.125 0.125 0.125
W1 0.125 0.125 0.625
S1 0.097 0.273 0.819
```

Principal peaks in the range 2θ from 10° to 90°, by angle:
- (0 0 4), 15.09°, rel. 64
- (0 2 2), 15.42°, rel. 100
- (0 2 6), 26.49°, rel. 46
- (1 3 3), 28.19°, rel. 22
- (0 4 4), 31.13°, rel. 16
- (2 2 0), 34.70°, rel. 22
- (2 2 4), 38.03°, rel. 21
- (2 0 6), 39.47°, rel. 27
- (2 4 2), 43.00°, rel. 21
- (2 4 6), 48.52°, rel. 14

Pm2Nd5YSc: calculated XRD peak list (copper Kα), based on a DFT-relaxed cell (GGA-PBE, Alexandria).
No peak broadening, texture or thermal motion is included.

Atomic structure:
```
data_Pm2Nd5YSc
_chemical_formula_sum 'Pm8 Nd20 Y4 Sc4'
_space_group_name_H-M_alt 'C m c m'
_space_group_IT_number 63
_space_group_name_Hall '-C 2c 2'
_cell_length_a 5.438
_cell_length_b 22.137
_cell_length_c 10.234
_cell_angle_alpha 90.00
_cell_angle_beta 90.00
_cell_angle_gamma 90.00
loop_
_atom_site_label
_atom_site_fract_x
_atom_site_fract_y
_atom_site_fract_z
Pm1 0.000 0.116 0.002
Nd1 0.000 0.000 0.250
Nd2 0.000 0.277 0.062
Nd3 0.000 0.373 0.750
Nd4 0.000 0.500 0.000
Y1 0.000 0.397 0.250
Sc1 0.000 0.212 0.750
```

Principal peaks in the range 2θ from 10° to 90°, by angle:
- (1 3 2), 26.80°, rel. 38
- (1 1 3), 31.21°, rel. 16
- (1 5 2), 31.38°, rel. 100
- (0 8 0), 32.35°, rel. 16
- (2 0 0), 32.94°, rel. 34
- (0 0 4), 35.07°, rel. 16
- (2 8 0), 46.84°, rel. 12
- (2 0 4), 48.88°, rel. 13
- (3 5 2), 57.83°, rel. 20
- (1 13 2), 59.70°, rel. 14

La2Pr12Y7: calculated XRD peak list (copper Kα), based on a DFT-relaxed cell (GGA-PBE, Alexandria).
No peak broadening, texture or thermal motion is included.

Atomic structure:
```
data_La2Pr12Y7
_chemical_formula_sum 'La2 Pr12 Y7'
_space_group_name_H-M_alt 'P -6'
_space_group_IT_number 174
_space_group_name_Hall 'P -6'
_cell_length_a 15.3858
_cell_length_b 15.3858
_cell_length_c 3.6114
_cell_angle_alpha 90.00
_cell_angle_beta 90.00
_cell_angle_gamma 120.00
loop_
_atom_site_label
_atom_site_fract_x
_atom_site_fract_y
_atom_site_fract_z
La1 0.0000 0.0000 0.0000
La2 0.3333 0.6667 0.5000
Pr1 0.0514 0.2536 0.5000
Pr2 0.1282 0.7125 0.0000
Pr3 0.4159 0.1502 0.0000
Pr4 0.4934 0.3955 0.5000
Y1 0.0955 0.4764 0.0000
Y2 0.2358 0.1894 0.5000
Y3 0.6667 0.3333 0.0000
```

Principal peaks in the range 2θ from 10° to 90°, by angle:
- (2 1 1), 30.46°, rel. 96
- (1 4 0), 30.75°, rel. 100
- (4 2 1), 43.83°, rel. 30
- (0 0 2), 50.55°, rel. 9
- (7 0 1), 54.49°, rel. 31
- (6 3 0), 54.67°, rel. 17
- (1 4 2), 60.34°, rel. 29
- (2 8 0), 64.05°, rel. 9
- (5 6 1), 72.57°, rel. 9
- (6 3 2), 77.66°, rel. 12